1.
# K2In3Bi2
Computed PXRD pattern, λ = 1.5418 Å (Cu Kα). Input: a structure optimized by DFT (PBE).

The 10 most intense peaks (15 to 90 degrees two-theta), low angle first:
5.338 Å, 16.6°, rel. 95; 3.200 Å, 27.9°, rel. 100; 3.063 Å, 29.2°, rel. 97; 2.860 Å, 31.3°, rel. 33; 2.812 Å, 31.8°, rel. 86; 2.669 Å, 33.6°, rel. 58; 2.513 Å, 35.7°, rel. 53; 2.305 Å, 39.1°, rel. 33; 2.219 Å, 40.7°, rel. 27; 1.830 Å, 49.8°, rel. 38

Structure:
Cell: 12.669 5.027 7.783 Å, 90.00 100.73 90.00°
Sites, in units of the cell vectors:
K1 0.133 0.000 0.325
K2 0.367 0.500 0.675
K3 0.633 0.500 0.325
K4 0.867 0.000 0.675
In1 0.000 0.500 0.000
In2 0.079 0.500 0.662
In3 0.421 0.000 0.338
In4 0.500 0.000 0.000
In5 0.579 0.000 0.662
In6 0.921 0.500 0.338
Bi1 0.184 0.000 0.848
Bi2 0.316 0.500 0.152
Bi3 0.684 0.500 0.848
Bi4 0.816 0.000 0.152

***

2.
# Pm4ZnIr2
Computed PXRD pattern, λ = 1.5418 Å (Cu Kα). Input: a structure optimized by DFT (PBE).

The 10 most intense peaks (15 to 90 degrees two-theta), low angle first:
4.529 Å, 19.6°, rel. 69; 3.083 Å, 29.0°, rel. 66; 2.863 Å, 31.2°, rel. 60; 2.837 Å, 31.5°, rel. 81; 2.751 Å, 32.6°, rel. 57; 2.684 Å, 33.4°, rel. 96; 2.519 Å, 35.6°, rel. 100; 2.263 Å, 39.8°, rel. 70; 2.217 Å, 40.7°, rel. 56; 1.993 Å, 45.5°, rel. 52

Structure:
Cell: 7.147 7.275 8.468 Å, 108.00 107.43 106.57°
Sites, in units of the cell vectors:
Pm1 0.000 0.000 0.000
Pm2 0.036 0.180 0.519
Pm3 0.294 0.601 0.401
Pm4 0.431 0.060 0.822
Pm5 0.472 0.116 0.392
Pm6 0.565 0.694 0.090
Pm7 0.848 0.655 0.511
Pm8 0.957 0.456 0.912
Zn1 0.542 0.523 0.714
Zn2 0.783 0.265 0.198
Ir1 0.034 0.801 0.262
Ir2 0.223 0.633 0.752
Ir3 0.426 0.336 0.159
Ir4 0.728 0.995 0.650

***

3.
# RbNa6Pb
Computed PXRD pattern, λ = 1.5418 Å (Cu Kα). Input: a structure optimized by DFT (PBE).

The 10 most intense peaks (15 to 90 degrees two-theta), low angle first:
5.455 Å, 16.2°, rel. 100; 4.329 Å, 20.5°, rel. 71; 3.513 Å, 25.4°, rel. 81; 3.391 Å, 26.3°, rel. 63; 2.790 Å, 32.1°, rel. 25; 2.670 Å, 33.6°, rel. 74; 2.308 Å, 39.0°, rel. 34; 2.261 Å, 39.9°, rel. 47; 2.165 Å, 41.7°, rel. 24; 1.818 Å, 50.2°, rel. 24

Structure:
Cell: 7.286 7.286 7.286 Å, 72.90 72.90 72.90°
Sites, in units of the cell vectors:
Rb1 0.000 0.000 0.000
Na1 0.035 0.632 0.632
Na2 0.368 0.368 0.965
Na3 0.368 0.965 0.368
Na4 0.632 0.035 0.632
Na5 0.632 0.632 0.035
Na6 0.965 0.368 0.368
Pb1 0.500 0.500 0.500

***

4.
# PHCl
Computed PXRD pattern, λ = 1.5418 Å (Cu Kα). Input: a structure optimized by DFT (PBE).

The 10 most intense peaks (15 to 90 degrees two-theta), low angle first:
5.812 Å, 15.2°, rel. 62; 4.982 Å, 17.8°, rel. 77; 4.398 Å, 20.2°, rel. 100; 3.766 Å, 23.6°, rel. 81; 3.453 Å, 25.8°, rel. 28; 3.170 Å, 28.2°, rel. 44; 3.003 Å, 29.8°, rel. 83; 2.757 Å, 32.5°, rel. 52; 2.089 Å, 43.3°, rel. 35; 1.839 Å, 49.6°, rel. 26

Structure:
Cell: 6.984 11.623 4.769 Å, 90.00 127.85 90.00°
Sites, in units of the cell vectors:
P1 0.000 0.000 0.000
P2 0.093 0.500 0.637
P3 0.500 0.500 0.000
P4 0.593 0.000 0.637
H1 0.087 0.411 0.839
H2 0.087 0.589 0.839
H3 0.587 0.089 0.839
H4 0.587 0.911 0.839
Cl1 0.037 0.140 0.764
Cl2 0.037 0.860 0.764
Cl3 0.537 0.360 0.764
Cl4 0.537 0.640 0.764

***

5.
# Y2InB2Ir5
Computed PXRD pattern, λ = 1.5418 Å (Cu Kα). Input: a structure optimized by DFT (PBE).

The 10 most intense peaks (15 to 90 degrees two-theta), low angle first:
3.220 Å, 27.7°, rel. 49; 2.708 Å, 33.1°, rel. 34; 2.592 Å, 34.6°, rel. 74; 2.441 Å, 36.8°, rel. 30; 2.368 Å, 38.0°, rel. 83; 2.355 Å, 38.2°, rel. 47; 2.229 Å, 40.5°, rel. 100; 2.184 Å, 41.3°, rel. 63; 2.073 Å, 43.7°, rel. 50; 1.269 Å, 74.8°, rel. 32

Structure:
Cell: 9.766 9.766 3.220 Å, 90.00 90.00 90.00°
Sites, in units of the cell vectors:
Y1 0.177 0.323 0.000
Y2 0.323 0.823 0.000
Y3 0.677 0.177 0.000
Y4 0.823 0.677 0.000
In1 0.000 0.000 0.000
In2 0.500 0.500 0.000
B1 0.120 0.620 0.000
B2 0.380 0.120 0.000
B3 0.620 0.880 0.000
B4 0.880 0.380 0.000
Ir1 0.000 0.500 0.500
Ir2 0.069 0.773 0.500
Ir3 0.227 0.069 0.500
Ir4 0.273 0.569 0.500
Ir5 0.431 0.273 0.500
Ir6 0.500 0.000 0.500
Ir7 0.569 0.727 0.500
Ir8 0.727 0.431 0.500
Ir9 0.773 0.931 0.500
Ir10 0.931 0.227 0.500

***

6.
# Pm3Pr3HoS8
Computed PXRD pattern, λ = 1.5418 Å (Cu Kα). Input: a structure optimized by DFT (PBE).

The 10 most intense peaks (15 to 90 degrees two-theta), low angle first:
3.323 Å, 26.8°, rel. 17; 3.304 Å, 27.0°, rel. 49; 2.865 Å, 31.2°, rel. 100; 2.030 Å, 44.6°, rel. 36; 2.022 Å, 44.8°, rel. 36; 1.726 Å, 53.0°, rel. 25; 1.652 Å, 55.6°, rel. 19; 1.284 Å, 73.8°, rel. 16; 1.279 Å, 74.1°, rel. 16; 1.169 Å, 82.5°, rel. 12

Structure:
Cell: 8.122 8.122 8.122 Å, 59.72 59.72 59.72°
Sites, in units of the cell vectors:
Pm1 0.000 0.500 0.500
Pm2 0.500 0.000 0.500
Pm3 0.500 0.500 0.000
Pr1 0.000 0.000 0.500
Pr2 0.000 0.500 0.000
Pr3 0.500 0.000 0.000
Ho1 0.000 0.000 0.000
S1 0.242 0.242 0.754
S2 0.242 0.754 0.242
S3 0.246 0.758 0.758
S4 0.252 0.252 0.252
S5 0.748 0.748 0.748
S6 0.754 0.242 0.242
S7 0.758 0.246 0.758
S8 0.758 0.758 0.246

***

7.
# SrLi5Zn2
Computed PXRD pattern, λ = 1.5418 Å (Cu Kα). Input: a structure optimized by DFT (PBE).

The 10 most intense peaks (15 to 90 degrees two-theta), low angle first:
4.104 Å, 21.7°, rel. 53; 3.056 Å, 29.2°, rel. 100; 2.844 Å, 31.5°, rel. 15; 2.588 Å, 34.7°, rel. 16; 2.189 Å, 41.2°, rel. 23; 2.134 Å, 42.3°, rel. 15; 2.104 Å, 43.0°, rel. 38; 1.893 Å, 48.1°, rel. 12; 1.570 Å, 58.8°, rel. 14; 1.528 Å, 60.6°, rel. 14

Structure:
Cell: 4.268 8.207 10.353 Å, 90.00 90.00 90.00°
Sites, in units of the cell vectors:
Sr1 0.000 0.000 0.000
Sr2 0.500 0.500 0.500
Li1 0.000 0.183 0.341
Li2 0.000 0.183 0.659
Li3 0.000 0.500 0.000
Li4 0.000 0.817 0.341
Li5 0.000 0.817 0.659
Li6 0.500 0.000 0.500
Li7 0.500 0.317 0.159
Li8 0.500 0.317 0.841
Li9 0.500 0.683 0.159
Li10 0.500 0.683 0.841
Zn1 0.000 0.500 0.256
Zn2 0.000 0.500 0.744
Zn3 0.500 0.000 0.244
Zn4 0.500 0.000 0.756

***

8.
# NaRhC
Computed PXRD pattern, λ = 1.5418 Å (Cu Kα). Input: a structure optimized by DFT (PBE).

The 10 most intense peaks (15 to 90 degrees two-theta), low angle first:
4.929 Å, 18.0°, rel. 100; 3.756 Å, 23.7°, rel. 20; 2.801 Å, 31.9°, rel. 23; 2.789 Å, 32.1°, rel. 23; 2.536 Å, 35.4°, rel. 13; 2.465 Å, 36.5°, rel. 37; 2.255 Å, 40.0°, rel. 48; 2.031 Å, 44.6°, rel. 23; 2.022 Å, 44.8°, rel. 41; 1.753 Å, 52.2°, rel. 13

Structure:
Cell: 6.788 5.071 5.971 Å, 90.00 124.37 90.00°
Sites, in units of the cell vectors:
Na1 0.250 0.250 0.000
Na2 0.250 0.750 0.000
Na3 0.750 0.250 0.000
Na4 0.750 0.750 0.000
Rh1 0.192 0.000 0.500
Rh2 0.308 0.500 0.500
Rh3 0.692 0.500 0.500
Rh4 0.808 0.000 0.500
C1 0.000 0.362 0.500
C2 0.000 0.638 0.500
C3 0.500 0.138 0.500
C4 0.500 0.862 0.500

***

What is the formula in the third record? RbNa6Pb